# NaZnCrO4
Calculated XRD peak list, Cu Kα. Input: a cell relaxed with GGA+U.

Crystal structure
Cell: 5.2451 5.2451 8.1026 Å, 90.00 90.00 90.00°
Space group I-4 (No. 82)
Asymmetric unit:
Na 0.0000 0.0000 0.0000
Zn 0.0000 0.0000 0.5000
Cr 0.0000 0.5000 0.7500
O 0.1560 0.2838 0.6247

Main lines, by angle (10° ≤ 2θ ≤ 90°):
| 2θ (°) | I/Imax | h k l |
| --- | --- | --- |
| 20.2 | 100 | 1 0 1 |
| 32.7 | 86 | 1 1 2 |
| 34.2 | 17 | 2 0 0 |
| 37.5 | 7 | 1 0 3 |
| 40.0 | 15 | 1 2 1 |
| 49.1 | 15 | 2 2 0 |
| 51.6 | 14 | 2 1 3 |
| 57.5 | 21 | 2 0 4 |
| 60.3 | 23 | 1 3 2 |
| 65.2 | 8 | 3 2 1 |